Diffraction record for Cd2SnO4. The powder diffractogram is theoretical, not measured: it uses the GGA-PBE geometry in the Materials Project and Cu Kα (λ = 1.5418 Å).

Principal peaks in the range 2θ from 10° to 90°, in order of falling intensity:
d_spacing	2θ (°)	intensity
2.900	30.83	100
2.715	32.99	84
2.733	32.77	46
1.967	46.14	42
1.645	55.90	32
2.832	31.59	30
1.417	65.90	24
2.089	43.31	23
1.625	56.65	15
1.688	54.35	13

Structure:
```
Cd2SnO4
1.0
5.6648 0.0000 0.0000
0.0000 10.1271 0.0000
0.0000 0.0000 3.2494
Cd Sn O
4 2 8
Direct
0.0597 0.1762 0.0000
0.4403 0.6762 0.0000
0.5597 0.3238 0.0000
0.9403 0.8238 0.0000
0.0000 0.5000 0.5000
0.5000 0.0000 0.5000
0.1343 0.6917 0.5000
0.2353 0.4610 0.0000
0.2647 0.9610 0.0000
0.3657 0.1917 0.5000
0.6343 0.8083 0.5000
0.7353 0.0390 0.0000
0.7647 0.5390 0.0000
0.8657 0.3083 0.5000
```